Structure and simulated powder X-ray diffraction pattern of Pr2SmIn3Hg6 (a cell relaxed with PBE; Cu Kα (λ = 1.5418 Å)).

Peak list (10 most intense, 2θ = 15–90°, most intense first)
2θ (°), I/Imax, hkl
41.8, 100, 2 0 0
37.2, 94, 1 0 7
29.5, 92, 1 1 1
34.2, 91, 1 1 4
32.1, 74, 1 1 3
36.7, 55, 1 1 5
57.2, 54, 2 1 7
21.0, 54, 1 0 1
55.7, 36, 2 0 8
35.2, 34, 0 0 8

Cell and atoms:
```
data_Pr2SmIn3Hg6
_cell_length_a 4.323
_cell_length_b 4.323
_cell_length_c 20.420
_cell_angle_alpha 90.00
_cell_angle_beta 90.00
_cell_angle_gamma 90.00
_symmetry_space_group_name_H-M 'P 4/m m m'
_symmetry_Int_Tables_number 123
_symmetry_space_group_name_Hall '-P 4 2'
loop_
_atom_site_label
_atom_site_type_symbol
_atom_site_fract_x
_atom_site_fract_y
_atom_site_fract_z
_atom_site_occupancy
Pr1 Pr 0.000 0.000 0.217 1
Sm1 Sm 0.000 0.000 0.500 1
In1 In 0.500 0.500 0.000 1
In2 In 0.500 0.500 0.280 1
Hg1 Hg 0.000 0.500 0.386 1
Hg2 Hg 0.500 0.500 0.137 1
```

***

Structure and simulated powder X-ray diffraction pattern of Dy5HoRu4 (a cell relaxed with PBE; Cu Kα (λ = 1.5418 Å)).

Peak list (10 most intense, 2θ = 15–90°, most intense first)
2θ (°), I/Imax, hkl
37.6, 100, 6 0 0
37.7, 66, 3 1 2
37.2, 34, 0 2 0
26.2, 27, 3 1 0
67.4, 24, 3 3 2
53.9, 24, 6 2 0
67.9, 23, 9 1 2
26.6, 13, 0 0 2
68.0, 12, 0 2 4
54.7, 11, 0 0 4

Cell and atoms:
```
data_Dy5HoRu4
_cell_length_a 14.361
_cell_length_b 4.835
_cell_length_c 6.708
_cell_angle_alpha 90.00
_cell_angle_beta 90.10
_cell_angle_gamma 90.00
_symmetry_space_group_name_H-M 'C 1 2/m 1'
_symmetry_Int_Tables_number 12
loop_
_symmetry_equiv_pos_as_xyz
'x,y,z'
'-x,-y,-z'
'-x,y,-z'
'x,-y,z'
'x+1/2,y+1/2,z'
'-x+1/2,-y+1/2,-z'
'-x+1/2,y+1/2,-z'
'x+1/2,-y+1/2,z'
loop_
_atom_site_label
_atom_site_type_symbol
_atom_site_fract_x
_atom_site_fract_y
_atom_site_fract_z
_atom_site_occupancy
Dy1 Dy 0.000 0.000 0.000 1
Dy2 Dy 0.166 0.500 0.001 1
Dy3 Dy 0.166 0.500 0.500 1
Ho1 Ho 0.000 0.000 0.500 1
Ru1 Ru 0.001 0.500 0.750 1
Ru2 Ru 0.165 0.000 0.750 1
```

***

Structure and simulated powder X-ray diffraction pattern of CsIn12 (a cell relaxed with PBE; Cu Kα (λ = 1.5418 Å)).

Peak list (10 most intense, 2θ = 15–90°, most intense first)
2θ (°), I/Imax, hkl
23.5, 100, 3 1 1
37.3, 81, 3 3 3
43.3, 68, 6 0 0
42.7, 45, 5 3 1
62.9, 42, 6 6 0
24.6, 37, 2 2 2
35.1, 37, 4 2 2
75.5, 27, 9 3 3
56.4, 26, 5 5 3
20.0, 18, 2 2 0

Cell and atoms:
```
data_CsIn12
_cell_length_a 12.536
_cell_length_b 12.536
_cell_length_c 12.536
_cell_angle_alpha 90.00
_cell_angle_beta 90.00
_cell_angle_gamma 90.00
_symmetry_space_group_name_H-M 'F m -3 m'
_symmetry_Int_Tables_number 225
_symmetry_space_group_name_Hall '-F 4 2 3'
loop_
_atom_site_label
_atom_site_type_symbol
_atom_site_fract_x
_atom_site_fract_y
_atom_site_fract_z
_atom_site_occupancy
Cs1 Cs 0.000 0.000 0.000 1
In1 In 0.000 0.170 0.330 1
```

***

Copy entry 2 word for word.
Structure and simulated powder X-ray diffraction pattern of Dy5HoRu4 (a cell relaxed with PBE; Cu Kα (λ = 1.5418 Å)).

Peak list (10 most intense, 2θ = 15–90°, most intense first)
2θ (°), I/Imax, hkl
37.6, 100, 6 0 0
37.7, 66, 3 1 2
37.2, 34, 0 2 0
26.2, 27, 3 1 0
67.4, 24, 3 3 2
53.9, 24, 6 2 0
67.9, 23, 9 1 2
26.6, 13, 0 0 2
68.0, 12, 0 2 4
54.7, 11, 0 0 4

Cell and atoms:
```
data_Dy5HoRu4
_cell_length_a 14.361
_cell_length_b 4.835
_cell_length_c 6.708
_cell_angle_alpha 90.00
_cell_angle_beta 90.10
_cell_angle_gamma 90.00
_symmetry_space_group_name_H-M 'C 1 2/m 1'
_symmetry_Int_Tables_number 12
loop_
_symmetry_equiv_pos_as_xyz
'x,y,z'
'-x,-y,-z'
'-x,y,-z'
'x,-y,z'
'x+1/2,y+1/2,z'
'-x+1/2,-y+1/2,-z'
'-x+1/2,y+1/2,-z'
'x+1/2,-y+1/2,z'
loop_
_atom_site_label
_atom_site_type_symbol
_atom_site_fract_x
_atom_site_fract_y
_atom_site_fract_z
_atom_site_occupancy
Dy1 Dy 0.000 0.000 0.000 1
Dy2 Dy 0.166 0.500 0.001 1
Dy3 Dy 0.166 0.500 0.500 1
Ho1 Ho 0.000 0.000 0.500 1
Ru1 Ru 0.001 0.500 0.750 1
Ru2 Ru 0.165 0.000 0.750 1
```